Entry 1:
This entry pairs a crystal structure of Li2Nd2DyMg5 with its computed powder XRD pattern. Radiation: a wavelength of 1.5418 Å. Structure: a DFT-relaxed cell (PBE, Alexandria).
Neutral-atom scattering factors, no anomalous dispersion.

Atomic structure:
```
Li2Nd2DyMg5
1.0
10.723 0.000 0.000
0.000 10.723 0.000
0.000 0.000 4.452
Li Nd Dy Mg
4 4 2 10
Direct
0.114 0.386 0.000 Li
0.386 0.886 0.000 Li
0.614 0.114 0.000 Li
0.886 0.614 0.000 Li
0.181 0.681 0.000 Nd
0.319 0.181 0.000 Nd
0.681 0.819 0.000 Nd
0.819 0.319 0.000 Nd
0.000 0.000 0.000 Dy
0.500 0.500 0.000 Dy
0.000 0.500 0.500 Mg
0.060 0.214 0.500 Mg
0.214 0.940 0.500 Mg
0.286 0.440 0.500 Mg
0.440 0.714 0.500 Mg
0.500 0.000 0.500 Mg
0.560 0.286 0.500 Mg
0.714 0.560 0.500 Mg
0.786 0.060 0.500 Mg
0.940 0.786 0.500 Mg
```

Main lines, most intense first (2θ from 15° to 90°):
hkl	d_spacing	intensity
3 1 1	2.698	100
2 1 1	3.263	73
2 2 1	2.886	57
2 1 0	4.795	53
3 1 0	3.391	44
4 1 0	2.601	44
0 0 1	4.452	43
5 3 1	1.700	33
2 2 0	3.791	31
5 3 2	1.418	25
4 1 2	1.691	24
0 0 2	2.226	23



Entry 2:
This entry pairs a crystal structure of Li2SmDy2Mg5 with its computed powder XRD pattern. Radiation: a wavelength of 1.5418 Å. Structure: a DFT-relaxed cell (PBE, Alexandria).
Neutral-atom scattering factors, no anomalous dispersion.

Atomic structure:
```
Li2SmDy2Mg5
1.0
10.618 0.000 0.000
0.000 10.618 0.000
0.000 0.000 4.417
Li Sm Dy Mg
4 2 4 10
Direct
0.114 0.386 0.000 Li
0.386 0.886 0.000 Li
0.614 0.114 0.000 Li
0.886 0.614 0.000 Li
0.000 0.000 0.000 Sm
0.500 0.500 0.000 Sm
0.180 0.680 0.000 Dy
0.320 0.180 0.000 Dy
0.680 0.820 0.000 Dy
0.820 0.320 0.000 Dy
0.000 0.500 0.500 Mg
0.062 0.217 0.500 Mg
0.217 0.938 0.500 Mg
0.283 0.438 0.500 Mg
0.438 0.717 0.500 Mg
0.500 0.000 0.500 Mg
0.562 0.283 0.500 Mg
0.717 0.562 0.500 Mg
0.783 0.062 0.500 Mg
0.938 0.783 0.500 Mg
```

Main lines, most intense first (2θ from 15° to 90°):
hkl	d_spacing	intensity
3 1 1	2.673	100
2 1 1	3.234	88
2 1 0	4.749	66
2 2 1	2.861	56
4 1 0	2.575	50
0 0 1	4.417	48
3 1 0	3.358	45
5 3 1	1.684	35
2 2 0	3.754	31
4 1 2	1.677	27
5 3 2	1.405	27
4 1 1	2.225	26